K3IrN2: calculated powder XRD pattern (CuKα), based on a crystal structure in Alexandria, relaxed with PBE.

The 10 most intense peaks (15 to 90 degrees two-theta), in order of rising 2θ:
2theta, d (Å), I (rel.), (hkl)
16.90, 5.246, 100.0, 1 1 0
17.01, 5.211, 29.5, 1 1 -1
19.72, 4.502, 29.6, 1 0 -2
20.42, 4.349, 41.8, 0 2 1
20.89, 4.252, 40.2, 0 1 2
28.75, 3.105, 48.5, 2 0 0
28.97, 3.082, 32.6, 2 0 -2
29.82, 2.996, 40.2, 0 1 3
30.99, 2.886, 67.5, 1 3 -1
33.73, 2.657, 36.1, 1 3 1

Atomic structure:
```
data_K3IrN2
_chemical_formula_sum 'K12 Ir4 N8'
_cell_length_a 6.5432
_cell_length_b 9.7989
_cell_length_c 9.9456
_cell_angle_alpha 90.00
_cell_angle_beta 108.35
_cell_angle_gamma 90.00
_symmetry_space_group_name_H-M 'P 1 21/c 1'
_symmetry_Int_Tables_number 14
_symmetry_space_group_name_Hall '-P 2ybc'
loop_
_atom_site_label
_atom_site_type_symbol
_atom_site_fract_x
_atom_site_fract_y
_atom_site_fract_z
K1 K 0.2355 0.0337 0.3583
K2 K 0.2495 0.7011 0.1818
K3 K 0.2528 0.0467 0.9876
Ir1 Ir 0.2072 0.1684 0.6678
N1 N 0.0031 0.7064 0.3857
N2 N 0.4479 0.0748 0.7559
```